Structure and computed X-ray diffraction stick pattern of Li2Hg3O4F2 (the GGA-PBE geometry in Alexandria; a wavelength of 1.5418 Å).
No peak broadening, texture or thermal motion is included.

Structure:
```
Li2Hg3O4F2
1.0
-1.9519 1.9519 9.2032
1.9519 -1.9519 9.2032
1.9519 1.9519 -9.2032
Li Hg O F
2 3 4 2
Direct
0.1034 0.1034 0.0000 Li
0.8966 0.8966 0.0000 Li
0.3330 0.3330 0.0000 Hg
0.5000 0.5000 0.0000 Hg
0.6670 0.6670 0.0000 Hg
0.0851 0.5851 0.5000 O
0.4149 0.9149 0.5000 O
0.5851 0.0851 0.5000 O
0.9149 0.4149 0.5000 O
0.2129 0.2129 0.0000 F
0.7871 0.7871 0.0000 F
```

Most intense lines, 2θ = 10–90°, most intense first:
2θ/deg	I_rel
23.3	100
44.1	56
32.4	52
33.5	40
41.4	30
46.5	28
29.1	27
52.7	23

=====

Structure and computed X-ray diffraction stick pattern of Li2HgPdF8 (the GGA-PBE geometry in Alexandria; a wavelength of 1.5418 Å).
No peak broadening, texture or thermal motion is included.

Structure:
```
Li2HgPdF8
1.0
4.7524 0.0000 0.0000
-0.0641 4.7585 0.0000
-0.0130 -0.0127 6.9968
Li Hg Pd F
2 1 1 8
Direct
0.0005 0.0005 0.2488 Li
0.9995 0.9995 0.7512 Li
0.5000 0.5000 0.0000 Hg
0.5000 0.5000 0.5000 Pd
0.1853 0.1832 0.9998 F
0.2102 0.2055 0.4997 F
0.2969 0.6979 0.2987 F
0.2978 0.6987 0.7012 F
0.7022 0.3013 0.2988 F
0.7031 0.3021 0.7013 F
0.7898 0.7945 0.5003 F
0.8147 0.8168 0.0002 F
```

Most intense lines, 2θ = 10–90°, most intense first:
2θ/deg	I_rel
18.7	100
31.8	46
36.9	39
26.3	28
26.7	28
25.5	27
50.0	21
42.7	21

=====

Structure and computed X-ray diffraction stick pattern of Rb2LiHgF6 (the GGA-PBE geometry in Alexandria; a wavelength of 1.5418 Å).
No peak broadening, texture or thermal motion is included.

Structure:
```
Rb2LiHgF6
1.0
0.0000 4.3288 4.3288
4.3288 0.0000 4.3288
4.3288 4.3288 0.0000
Rb Li Hg F
2 1 1 6
Direct
0.2500 0.2500 0.2500 Rb
0.7500 0.7500 0.7500 Rb
0.0000 0.0000 0.0000 Li
0.5000 0.5000 0.5000 Hg
0.2430 0.2430 0.7570 F
0.2430 0.7570 0.2430 F
0.2430 0.7570 0.7570 F
0.7570 0.2430 0.2430 F
0.7570 0.2430 0.7570 F
0.7570 0.7570 0.2430 F
```

Most intense lines, 2θ = 10–90°, most intense first:
2θ/deg	I_rel
29.2	100
17.7	66
34.4	44
51.7	42
41.7	40
60.5	25
83.6	23
45.7	22

=====

Structure and computed X-ray diffraction stick pattern of Rb3LiHg2F8 (the GGA-PBE geometry in Alexandria; a wavelength of 1.5418 Å).
No peak broadening, texture or thermal motion is included.

Structure:
```
Rb3LiHg2F8
1.0
6.1153 0.0000 0.0000
-3.0576 5.2960 0.0000
0.0000 0.0000 8.3356
Rb Li Hg F
3 1 2 8
Direct
0.0000 0.0000 0.0000 Rb
0.3333 0.6667 0.6151 Rb
0.6667 0.3333 0.3849 Rb
0.0000 0.0000 0.5000 Li
0.3333 0.6667 0.1930 Hg
0.6667 0.3333 0.8070 Hg
0.1576 0.3153 0.3409 F
0.1576 0.8424 0.3409 F
0.3153 0.1576 0.6591 F
0.3333 0.6667 0.9383 F
0.6667 0.3333 0.0617 F
0.6847 0.8424 0.3409 F
0.8424 0.1576 0.6591 F
0.8424 0.6847 0.6591 F
```

Most intense lines, 2θ = 10–90°, most intense first:
2θ/deg	I_rel
29.2	100
27.2	79
19.9	65
40.4	48
36.5	43
50.6	30
16.7	28
56.7	21

=====

Structure and computed X-ray diffraction stick pattern of LiScHgF6 (the GGA-PBE geometry in Alexandria; a wavelength of 1.5418 Å).
No peak broadening, texture or thermal motion is included.

Structure:
```
LiScHgF6
1.0
5.3673 0.0000 0.0000
-2.6836 4.6482 0.0000
0.0000 0.0000 9.9269
Li Sc Hg F
2 2 2 12
Direct
0.3333 0.6667 0.2500 Li
0.6667 0.3333 0.7500 Li
0.3333 0.6667 0.7500 Sc
0.6667 0.3333 0.2500 Sc
0.0000 0.0000 0.0000 Hg
0.0000 0.0000 0.5000 Hg
0.0041 0.3581 0.6390 F
0.0041 0.6460 0.8610 F
0.3540 0.3581 0.8610 F
0.3540 0.9959 0.6390 F
0.3581 0.0041 0.1390 F
0.3581 0.3540 0.3610 F
0.6419 0.6460 0.6390 F
0.6419 0.9959 0.8610 F
0.6460 0.0041 0.3610 F
0.6460 0.6419 0.1390 F
0.9959 0.3540 0.1390 F
0.9959 0.6419 0.3610 F
```

Most intense lines, 2θ = 10–90°, most intense first:
2θ/deg	I_rel
26.3	100
19.1	54
50.1	30
55.5	27
38.1	26
43.0	26
41.2	20
33.4	19

=====

Structure and computed X-ray diffraction stick pattern of Sr2Li3HgF12 (the GGA-PBE geometry in Alexandria; a wavelength of 1.5418 Å).
No peak broadening, texture or thermal motion is included.

Structure:
```
Sr2Li3HgF12
1.0
3.2703 1.8881 6.4429
-3.2703 1.8881 6.4429
0.0000 -3.7763 6.4429
Sr Li Hg F
2 3 1 12
Direct
0.1066 0.1066 0.1066 Sr
0.8934 0.8934 0.8934 Sr
0.0000 0.5000 0.5000 Li
0.5000 0.0000 0.5000 Li
0.5000 0.5000 0.0000 Li
0.5000 0.5000 0.5000 Hg
0.0805 0.6510 0.6510 F
0.2205 0.2205 0.6682 F
0.2205 0.6682 0.2205 F
0.3318 0.7795 0.7795 F
0.3490 0.3490 0.9195 F
0.3490 0.9195 0.3490 F
0.6510 0.0805 0.6510 F
0.6510 0.6510 0.0805 F
0.6682 0.2205 0.2205 F
0.7795 0.3318 0.7795 F
0.7795 0.7795 0.3318 F
0.9195 0.3490 0.3490 F
```

Most intense lines, 2θ = 10–90°, most intense first:
2θ/deg	I_rel
18.2	100
30.7	82
39.4	74
13.7	70
27.3	62
27.9	54
43.3	42
48.6	36

=====

Structure and computed X-ray diffraction stick pattern of LiTlHgF6 (the GGA-PBE geometry in Alexandria; a wavelength of 1.5418 Å).
No peak broadening, texture or thermal motion is included.

Structure:
```
LiTlHgF6
1.0
5.5655 0.0000 0.0000
-2.7827 4.8199 0.0000
0.0000 0.0000 9.8547
Li Tl Hg F
2 2 2 12
Direct
0.3333 0.6667 0.2500 Li
0.6667 0.3333 0.7500 Li
0.3333 0.6667 0.7500 Tl
0.6667 0.3333 0.2500 Tl
0.0000 0.0000 0.0000 Hg
0.0000 0.0000 0.5000 Hg
0.0177 0.3580 0.1347 F
0.0177 0.6597 0.3653 F
0.3403 0.3580 0.3653 F
0.3403 0.9823 0.1347 F
0.3580 0.0177 0.6347 F
0.3580 0.3403 0.8653 F
0.6420 0.6597 0.1347 F
0.6420 0.9823 0.3653 F
0.6597 0.0177 0.8653 F
0.6597 0.6420 0.6347 F
0.9823 0.3403 0.6347 F
0.9823 0.6420 0.8653 F
```

Most intense lines, 2θ = 10–90°, most intense first:
2θ/deg	I_rel
25.9	100
20.5	50
49.4	40
32.2	37
41.7	28
53.6	28
33.0	17
57.3	15